(1)
# MgFe4O4F4
Computed XRD peak list, Cu Kα (weighted mean of Kα1 and Kα2). Input: a GGA+U-relaxed structure.
Lines closer than 0.1° are merged.

Top 10 peaks for 10° ≤ 2θ ≤ 90°, by intensity:
d 3.923, rel. 100
d 3.374, rel. 99
d 2.634, rel. 65
d 2.652, rel. 63
d 2.426, rel. 54
d 2.271, rel. 47
d 5.050, rel. 47
d 1.903, rel. 45
d 2.615, rel. 38
d 1.763, rel. 37

Atomic structure:
```
data_MgFe4O4F4
_chemical_formula_sum 'Mg1 Fe4 O4 F4'
_cell_length_a 6.751
_cell_length_b 3.087
_cell_length_c 7.849
_cell_angle_alpha 90.00
_cell_angle_beta 91.52
_cell_angle_gamma 90.00
_symmetry_space_group_name_H-M 'P 1 m 1'
_symmetry_Int_Tables_number 6
_symmetry_space_group_name_Hall 'P -2y'
loop_
_atom_site_label
_atom_site_type_symbol
_atom_site_fract_x
_atom_site_fract_y
_atom_site_fract_z
_atom_site_occupancy
Mg1 Mg 0.000 0.000 0.000 1
Fe1 Fe 0.235 0.500 0.728 1
Fe2 Fe 0.300 0.000 0.344 1
Fe3 Fe 0.724 0.500 0.286 1
Fe4 Fe 0.770 0.000 0.681 1
O1 O 0.208 0.000 0.581 1
O2 O 0.447 0.500 0.270 1
O3 O 0.785 0.000 0.430 1
O4 O 0.954 0.500 0.817 1
F1 F 0.038 0.500 0.174 1
F2 F 0.275 0.000 0.915 1
F3 F 0.546 0.500 0.719 1
F4 F 0.734 0.000 0.094 1
```

---

(2)
# MgFe6O11F
Computed XRD peak list, Cu Kα (weighted mean of Kα1 and Kα2). Input: a GGA+U-relaxed structure.
Lines closer than 0.1° are merged.

Top 10 peaks for 10° ≤ 2θ ≤ 90°, by intensity:
d 3.798, rel. 100
d 3.258, rel. 94
d 2.520, rel. 47
d 2.558, rel. 26
d 2.445, rel. 24
d 2.531, rel. 21
d 1.698, rel. 18
d 1.840, rel. 18
d 2.343, rel. 18
d 1.655, rel. 18

Atomic structure:
```
data_MgFe6O11F
_chemical_formula_sum 'Mg1 Fe6 O11 F1'
_cell_length_a 5.746
_cell_length_b 5.905
_cell_length_c 7.101
_cell_angle_alpha 68.98
_cell_angle_beta 74.23
_cell_angle_gamma 81.64
_symmetry_space_group_name_H-M 'P 1'
_symmetry_Int_Tables_number 1
_symmetry_space_group_name_Hall 'P 1'
loop_
_atom_site_label
_atom_site_type_symbol
_atom_site_fract_x
_atom_site_fract_y
_atom_site_fract_z
_atom_site_occupancy
Mg1 Mg 0.000 0.000 0.000 1
Fe1 Fe 0.040 0.451 0.490 1
Fe2 Fe 0.319 0.843 0.650 1
Fe3 Fe 0.424 0.769 0.162 1
Fe4 Fe 0.584 0.251 0.825 1
Fe5 Fe 0.635 0.184 0.343 1
Fe6 Fe 0.999 0.513 0.983 1
O1 O 0.088 0.634 0.192 1
O2 O 0.253 0.692 0.455 1
O3 O 0.288 0.179 0.481 1
O4 O 0.351 0.515 0.840 1
O5 O 0.374 0.985 0.888 1
O6 O 0.625 0.043 0.116 1
O7 O 0.641 0.860 0.518 1
O8 O 0.653 0.503 0.141 1
O9 O 0.740 0.305 0.530 1
O10 O 0.920 0.354 0.796 1
O11 O 0.995 0.841 0.797 1
F1 F 0.020 0.166 0.189 1
```